Simulated powder diffractogram
Compound: Li2V2P2O11
Radiation: copper Kα
Structure: a cell relaxed with GGA+U

Structure:
Cell lengths 7.9512, 10.7176, 5.4190 Å; angles 90.00, 90.00, 90.00 degrees
Space group P2_12_12 (No. 18)
Inequivalent atoms, fractional coordinates:
Li1 0.1116 0.1224 0.0452
V1 0.1991 0.9524 0.4749
P1 0.0542 0.6872 0.6772
O1 0.0000 0.0000 0.3069
O2 0.0019 0.2610 0.9193
O3 0.0841 0.3860 0.5330
O4 0.1122 0.7903 0.4895
O5 0.1814 0.0060 0.7536
O6 0.2079 0.5964 0.7104

Main lines, low angle first (2θ = 10–80°):
index	two_theta	intensity
0 0 1	16.4	100
0 1 1	18.3	16
1 0 1	19.8	25
0 2 1	23.3	16
2 1 0	23.9	13
1 2 1	25.9	36
1 3 0	27.4	22
2 2 0	27.9	42
2 1 1	29.1	12
2 2 1	32.5	10
1 2 2	38.9	16
2 5 1	51.3	10